The following is a simulated X-ray powder pattern of La8TbEr4. It was derived from the PBE geometry in Alexandria, using Cu Kα X-rays.

Crystal structure
Unit cell a=11.2588 b=11.2588 c=13.7187 alpha=90.00 beta=90.00 gamma=120.00
Space group R-3m (No. 166, hexagonal axes)
Unique sites:
La 0.0000 0.0000 0.2387 [6 per cell]
La 0.0138 0.5069 0.7453 [18 per cell]
Tb 0.0000 0.0000 0.5000 [3 per cell]
Er 0.0000 0.0000 0.0000 [3 per cell]
Er 0.0000 0.5000 0.0000 [9 per cell]

Most intense lines, 10 to 90 degrees two-theta, in order of rising 2θ:
| h k l | d/Å | Position (°2θ) | I_rel |
| --- | --- | --- | --- |
| 0 0 3 | 4.588 | 19.3 | 32 |
| 1 1 3 | 3.554 | 25.1 | 11 |
| 2 2 0 | 2.815 | 31.8 | 100 |
| 0 2 4 | 2.805 | 31.9 | 99 |
| 2 2 3 | 2.398 | 37.5 | 14 |
| 4 0 4 | 1.987 | 45.7 | 36 |
| 6 0 0 | 1.624 | 56.7 | 56 |
| 2 0 8 | 1.618 | 56.9 | 18 |
| 4 4 0 | 1.407 | 66.4 | 11 |
| 0 4 8 | 1.403 | 66.7 | 11 |
| 6 2 4 | 1.258 | 75.6 | 15 |
| 4 2 8 | 1.255 | 75.8 | 15 |